No. 1
Theoretical powder diffraction line list of SrCaLaSbO6 for λ = 1.5418 Å (Cu Kα), from the GGA-PBE geometry in Alexandria.
Peak positions follow from Bragg's law for the DFT cell and can differ from measured ones.

Structural model:
a = 5.8436 Å, b = 6.0557 Å, c = 8.4391 Å
α = 89.86°, β = 89.67°, γ = 89.99°
Space group P-1 (No. 2)
One atom of each set of equivalent atoms:
Sr 0.0116 0.4509 0.2464 (multiplicity 2)
Ca 0.4855 0.9556 0.2542 (multiplicity 2)
La 0.0000 0.0000 0.0000 (multiplicity 1)
La 0.5000 0.5000 0.5000 (multiplicity 1)
Sb 0.0000 0.0000 0.5000 (multiplicity 1)
Sb 0.5000 0.5000 0.0000 (multiplicity 1)
O 0.1212 0.9614 0.7250 (multiplicity 2)
O 0.1778 0.7267 0.4376 (multiplicity 2)
O 0.2150 0.6782 0.0392 (multiplicity 2)
O 0.2781 0.1818 0.4402 (multiplicity 2)
O 0.3305 0.2195 0.0699 (multiplicity 2)
O 0.4049 0.4343 0.7738 (multiplicity 2)

Most intense lines, 2θ = 10–90°, sorted by position:
(1 -1 0), d 4.209, 21.11°, I = 65; (0 2 0), d 3.028, 29.50°, I = 48; (1 1 2), d 2.985, 29.94°, I = 100; (1 1 -2), d 2.972, 30.07°, I = 100; (2 0 0), d 2.922, 30.60°, I = 44; (2 2 0), d 2.102, 43.02°, I = 48

No. 2
Theoretical powder diffraction line list of SrCaLaSbO6 for λ = 1.5418 Å (Cu Kα), from the GGA-PBE geometry in Alexandria.
Peak positions follow from Bragg's law for the DFT cell and can differ from measured ones.

Structural model:
a = 8.3768 Å, b = 8.4557 Å, c = 8.6126 Å
α = 90.00°, β = 90.00°, γ = 90.00°
Space group Cccm (No. 66)
One atom of each set of equivalent atoms:
Sr 0.0000 0.0000 0.2500 (multiplicity 4)
Ca 0.0000 0.5000 0.2500 (multiplicity 4)
La 0.2500 0.2500 0.0000 (multiplicity 4)
Sb 0.2500 0.2500 0.5000 (multiplicity 4)
O 0.0224 0.1759 0.5000 (multiplicity 8)
O 0.1720 0.4770 0.5000 (multiplicity 8)
O 0.2500 0.2500 0.2674 (multiplicity 8)

Most intense lines, 2θ = 10–90°, sorted by position:
(0 2 2), d 3.017, 29.61°, I = 82; (2 0 2), d 3.002, 29.76°, I = 80; (2 2 0), d 2.975, 30.03°, I = 100; (2 2 4), d 1.744, 52.46°, I = 40; (2 4 2), d 1.728, 52.98°, I = 39; (4 2 2), d 1.720, 53.25°, I = 39

No. 3
Theoretical powder diffraction line list of Ca2LaTaO6 for λ = 1.5418 Å (Cu Kα), from the GGA-PBE geometry in Alexandria.
Peak positions follow from Bragg's law for the DFT cell and can differ from measured ones.

Structural model:
a = 5.6960 Å, b = 5.9475 Å, c = 10.0101 Å
α = 90.00°, β = 124.54°, γ = 90.00°
Space group Pc (No. 7)
One atom of each set of equivalent atoms:
Ca 0.0000 0.1978 0.0000 (multiplicity 2)
Ca 0.7716 0.2468 0.2552 (multiplicity 2)
La 0.5414 0.3038 0.5113 (multiplicity 2)
Ta 0.2734 0.2475 0.7573 (multiplicity 2)
O 0.0269 0.4724 0.1846 (multiplicity 2)
O 0.1591 0.1924 0.5273 (multiplicity 2)
O 0.3827 0.3014 0.9841 (multiplicity 2)
O 0.5166 0.0324 0.3270 (multiplicity 2)
O 0.6099 0.4281 0.8071 (multiplicity 2)
O 0.9306 0.0698 0.7019 (multiplicity 2)

Most intense lines, 2θ = 10–90°, sorted by position:
(0 1 1), d 4.824, 18.39°, I = 41; (1 0 -2), d 4.686, 18.94°, I = 35; (0 2 0), d 2.974, 30.05°, I = 23; (1 1 1), d 2.912, 30.70°, I = 100; (2 0 -2), d 2.848, 31.41°, I = 22; (2 2 -2), d 2.057, 44.02°, I = 22

No. 4
Theoretical powder diffraction line list of CaLaTc2O8 for λ = 1.5418 Å (Cu Kα), from the GGA-PBE geometry in Alexandria.
Peak positions follow from Bragg's law for the DFT cell and can differ from measured ones.

Structural model:
a = 5.3398 Å, b = 5.3398 Å, c = 11.7652 Å
α = 90.00°, β = 90.00°, γ = 90.00°
Space group I-4 (No. 82)
One atom of each set of equivalent atoms:
Ca 0.0000 0.0000 0.0000 (multiplicity 2)
La 0.0000 0.5000 0.2500 (multiplicity 2)
Tc 0.0000 0.0000 0.5000 (multiplicity 2)
Tc 0.0000 0.5000 0.7500 (multiplicity 2)
O 0.1490 0.7518 0.8309 (multiplicity 8)
O 0.1528 0.2484 0.4197 (multiplicity 8)

Most intense lines, 2θ = 10–90°, sorted by position:
(1 1 2), d 3.178, 28.08°, I = 100; (0 0 4), d 2.941, 30.39°, I = 14; (2 0 0), d 2.670, 33.57°, I = 18; (2 0 4), d 1.977, 45.90°, I = 30; (1 1 6), d 1.740, 52.59°, I = 17; (1 3 2), d 1.623, 56.72°, I = 27

No. 5
Theoretical powder diffraction line list of CaLaTiO4 for λ = 1.5418 Å (Cu Kα), from the GGA-PBE geometry in Alexandria.
Peak positions follow from Bragg's law for the DFT cell and can differ from measured ones.

Structural model:
a = 3.9129 Å, b = 3.9129 Å, c = 12.3238 Å
α = 90.00°, β = 90.00°, γ = 90.00°
Space group I4mm (No. 107)
One atom of each set of equivalent atoms:
Ca 0.0000 0.0000 0.0000 (multiplicity 2)
La 0.0000 0.0000 0.2875 (multiplicity 2)
Ti 0.0000 0.0000 0.6390 (multiplicity 2)
O 0.0000 0.0000 0.4715 (multiplicity 2)
O 0.0000 0.0000 0.8147 (multiplicity 2)
O 0.0000 0.5000 0.1422 (multiplicity 4)

Most intense lines, 2θ = 10–90°, sorted by position:
(0 0 2), d 6.162, 14.37°, I = 40; (1 0 1), d 3.729, 23.86°, I = 47; (1 0 3), d 2.833, 31.58°, I = 100; (1 1 0), d 2.767, 32.36°, I = 73; (2 0 0), d 1.956, 46.41°, I = 42; (2 1 3), d 1.610, 57.22°, I = 37

No. 6
Theoretical powder diffraction line list of CaLa2TeP for λ = 1.5418 Å (Cu Kα), from the GGA-PBE geometry in Alexandria.
Peak positions follow from Bragg's law for the DFT cell and can differ from measured ones.

Structural model:
a = 5.6050 Å, b = 5.6050 Å, c = 5.3087 Å
α = 90.00°, β = 90.00°, γ = 90.00°
Space group P4/mmm (No. 123)
One atom of each set of equivalent atoms:
Ca 0.0000 0.0000 0.0000 (multiplicity 1)
La 0.0000 0.5000 0.5000 (multiplicity 2)
Te 0.5000 0.5000 0.0000 (multiplicity 1)
P 0.0000 0.0000 0.5000 (multiplicity 1)

Most intense lines, 2θ = 10–90°, sorted by position:
(1 1 1), d 3.176, 28.10°, I = 100; (2 0 0), d 2.803, 31.93°, I = 48; (0 0 2), d 2.654, 33.77°, I = 20; (2 0 2), d 1.927, 47.16°, I = 31; (3 1 1), d 1.681, 54.59°, I = 31; (4 2 0), d 1.253, 75.96°, I = 19

No. 7
Theoretical powder diffraction line list of CaLa2Pb for λ = 1.5418 Å (Cu Kα), from the GGA-PBE geometry in Alexandria.
Peak positions follow from Bragg's law for the DFT cell and can differ from measured ones.

Structural model:
a = 3.6864 Å, b = 6.0132 Å, c = 6.2087 Å
α = 90.00°, β = 98.10°, γ = 90.00°
Space group P2/m (No. 10)
One atom of each set of equivalent atoms:
Ca 0.0000 0.0000 0.0000 (multiplicity 1)
La 0.3033 0.5000 0.7197 (multiplicity 2)
Pb 0.5000 0.0000 0.5000 (multiplicity 1)

Most intense lines, 2θ = 10–90°, sorted by position:
(0 0 1), d 6.147, 14.41°, I = 54; (0 2 0), d 3.007, 29.71°, I = 62; (1 0 1), d 2.960, 30.19°, I = 59; (1 1 -1), d 2.928, 30.53°, I = 100; (0 1 2), d 2.737, 32.72°, I = 89; (1 2 1), d 2.109, 42.87°, I = 45

No. 8
Theoretical powder diffraction line list of Ca4LaPb5 for λ = 1.5418 Å (Cu Kα), from the GGA-PBE geometry in Alexandria.
Peak positions follow from Bragg's law for the DFT cell and can differ from measured ones.

Structural model:
a = 3.6107 Å, b = 3.6107 Å, c = 23.2677 Å
α = 90.00°, β = 90.00°, γ = 90.00°
Space group P4/mmm (No. 123)
One atom of each set of equivalent atoms:
Ca 0.0000 0.0000 0.0994 (multiplicity 2)
Ca 0.0000 0.0000 0.2969 (multiplicity 2)
La 0.0000 0.0000 0.5000 (multiplicity 1)
Pb 0.5000 0.5000 0.0000 (multiplicity 1)
Pb 0.5000 0.5000 0.1984 (multiplicity 2)
Pb 0.5000 0.5000 0.3963 (multiplicity 2)

Most intense lines, 2θ = 10–90°, sorted by position:
(0 0 5), d 4.654, 19.07°, I = 23; (1 0 0), d 3.611, 24.66°, I = 26; (1 0 5), d 2.853, 31.36°, I = 100; (1 1 0), d 2.553, 35.15°, I = 37; (2 1 5), d 1.526, 60.71°, I = 31; (2 0 10), d 1.426, 65.46°, I = 24

No. 9
Theoretical powder diffraction line list of CaLa3Pb4 for λ = 1.5418 Å (Cu Kα), from the GGA-PBE geometry in Alexandria.
Peak positions follow from Bragg's law for the DFT cell and can differ from measured ones.

Structural model:
a = 7.4356 Å, b = 9.1585 Å, c = 14.7693 Å
α = 90.00°, β = 90.00°, γ = 90.00°
Space group Fmmm (No. 69)
One atom of each set of equivalent atoms:
Ca 0.0000 0.0000 0.0000 (multiplicity 4)
La 0.0000 0.0000 0.2481 (multiplicity 8)
La 0.0000 0.0000 0.5000 (multiplicity 4)
Pb 0.2500 0.2500 0.1226 (multiplicity 16)

Most intense lines, 2θ = 10–90°, sorted by position:
(2 2 0), d 2.886, 30.98°, I = 100; (0 2 4), d 2.874, 31.12°, I = 99; (2 0 4), d 2.620, 34.23°, I = 77; (2 4 4), d 1.724, 53.13°, I = 47; (4 2 4), d 1.561, 59.19°, I = 32; (2 2 8), d 1.555, 59.43°, I = 32

No. 10
Theoretical powder diffraction line list of CaLaPb2 for λ = 1.5418 Å (Cu Kα), from the GGA-PBE geometry in Alexandria.
Peak positions follow from Bragg's law for the DFT cell and can differ from measured ones.

Structural model:
a = 3.6025 Å, b = 4.6252 Å, c = 7.4000 Å
α = 90.00°, β = 90.00°, γ = 90.00°
Space group Pmmm (No. 47)
One atom of each set of equivalent atoms:
Ca 0.0000 0.0000 0.0000 (multiplicity 1)
La 0.0000 0.0000 0.5000 (multiplicity 1)
Pb 0.5000 0.5000 0.2368 (multiplicity 2)

Most intense lines, 2θ = 10–90°, sorted by position:
(0 1 2), d 2.889, 30.95°, I = 100; (1 1 0), d 2.842, 31.48°, I = 98; (1 0 2), d 2.581, 34.76°, I = 74; (1 2 2), d 1.722, 53.18°, I = 44; (1 1 4), d 1.550, 59.63°, I = 30; (2 1 2), d 1.529, 60.58°, I = 30

No. 11
Theoretical powder diffraction line list of CaLa3Pd4 for λ = 1.5418 Å (Cu Kα), from the GGA-PBE geometry in Alexandria.
Peak positions follow from Bragg's law for the DFT cell and can differ from measured ones.

Structural model:
a = 7.2796 Å, b = 7.2796 Å, c = 7.2796 Å
α = 90.00°, β = 90.00°, γ = 90.00°
Space group Im-3m (No. 229)
One atom of each set of equivalent atoms:
Ca 0.0000 0.0000 0.0000 (multiplicity 2)
La 0.0000 0.0000 0.5000 (multiplicity 6)
Pd 0.2500 0.2500 0.2500 (multiplicity 8)

Most intense lines, 2θ = 10–90°, sorted by position:
(1 1 0), d 5.147, 17.23°, I = 6; (2 2 0), d 2.574, 34.86°, I = 100; (4 0 0), d 1.820, 50.12°, I = 18; (4 2 2), d 1.486, 62.50°, I = 36; (4 4 0), d 1.287, 73.61°, I = 11; (6 2 0), d 1.151, 84.10°, I = 15

No. 12
Theoretical powder diffraction line list of CaLaPd10 for λ = 1.5418 Å (Cu Kα), from the GGA-PBE geometry in Alexandria.
Peak positions follow from Bragg's law for the DFT cell and can differ from measured ones.

Structural model:
a = 4.4923 Å, b = 5.3644 Å, c = 9.2899 Å
α = 90.00°, β = 90.00°, γ = 90.00°
Space group Pmmm (No. 47)
One atom of each set of equivalent atoms:
Ca 0.0000 0.0000 0.0000 (multiplicity 1)
La 0.0000 0.5000 0.5000 (multiplicity 1)
Pd 0.0000 0.0000 0.3327 (multiplicity 2)
Pd 0.0000 0.5000 0.1663 (multiplicity 2)
Pd 0.5000 0.0000 0.5000 (multiplicity 1)
Pd 0.5000 0.2505 0.2501 (multiplicity 4)
Pd 0.5000 0.5000 0.0000 (multiplicity 1)

Most intense lines, 2θ = 10–90°, sorted by position:
(0 0 2), d 4.645, 19.11°, I = 30; (0 0 4), d 2.323, 38.77°, I = 28; (1 2 0), d 2.303, 39.12°, I = 100; (2 0 0), d 2.246, 40.15°, I = 36; (1 2 2), d 2.063, 43.88°, I = 50; (2 4 0), d 1.151, 84.06°, I = 25